[1]
Diffraction record for Dy2Cu2O5. The powder XRD pattern is theoretical, not measured: it uses a cell relaxed with GGA-PBE and Cu Kα, 1.54184 Å.
Neutral-atom scattering factors, no anomalous dispersion.

Top 12 peaks for 2θ from 10° to 90°, by angle:
2θ (°), I_rel
15.81, 428
28.60, 349
29.71, 257
31.93, 350
32.74, 536
32.84, 1000
43.36, 333
50.51, 355
50.73, 165
57.45, 219
61.02, 268
61.70, 169

Cell and atoms:
Unit cell a=6.268 b=11.213 c=7.198 alpha=90.00 beta=90.00 gamma=90.00
Element x y z (fractional)
Dy  0.250  0.023  0.119
Dy  0.250  0.477  0.119
Dy  0.250  0.523  0.619
Dy  0.250  0.977  0.619
Dy  0.750  0.023  0.381
Dy  0.750  0.477  0.381
Dy  0.750  0.523  0.881
Dy  0.750  0.977  0.881
Cu  0.072  0.250  0.351
Cu  0.087  0.250  0.872
Cu  0.413  0.750  0.372
Cu  0.428  0.750  0.851
Cu  0.572  0.250  0.149
Cu  0.587  0.250  0.628
Cu  0.913  0.750  0.128
Cu  0.928  0.750  0.649
O  0.069  0.086  0.856
O  0.069  0.414  0.856
O  0.098  0.088  0.387
O  0.098  0.412  0.387
O  0.246  0.750  0.619
O  0.254  0.250  0.119
O  0.402  0.588  0.887
O  0.402  0.912  0.887
O  0.431  0.586  0.356
O  0.431  0.914  0.356
O  0.569  0.086  0.644
O  0.569  0.414  0.644
O  0.598  0.088  0.113
O  0.598  0.412  0.113
O  0.746  0.750  0.881
O  0.754  0.250  0.381
O  0.902  0.588  0.613
O  0.902  0.912  0.613
O  0.931  0.586  0.144
O  0.931  0.914  0.144

[2]
Diffraction record for DyCuO3. The powder XRD pattern is theoretical, not measured: it uses a cell relaxed with GGA-PBE and Cu Kα, 1.54184 Å.
Neutral-atom scattering factors, no anomalous dispersion.

Top 10 peaks for 2θ from 10° to 90°, by angle:
2θ (°), I_rel
23.56, 140
33.57, 1000
41.42, 159
48.21, 298
54.33, 71
60.02, 379
70.56, 175
75.55, 38
80.44, 163
85.25, 54

Cell and atoms:
Unit cell a=3.775 b=3.775 c=3.775 alpha=90.00 beta=90.00 gamma=90.00
Element x y z (fractional)
Dy  0.000  0.000  0.000
Cu  0.500  0.500  0.500
O  0.000  0.500  0.500
O  0.500  0.000  0.500
O  0.500  0.500  0.000

[3]
Diffraction record for Dy2CuSe2O. The powder XRD pattern is theoretical, not measured: it uses a cell relaxed with GGA-PBE and Cu Kα, 1.54184 Å.
Neutral-atom scattering factors, no anomalous dispersion.

Top 12 peaks for 2θ from 10° to 90°, by angle:
2θ (°), I_rel
25.19, 1000
25.34, 140
31.71, 117
35.93, 393
36.04, 225
40.96, 105
44.48, 126
46.50, 232
51.72, 136
53.61, 151
58.39, 246
72.07, 122

Cell and atoms:
Unit cell a=3.535 b=3.535 c=14.058 alpha=90.00 beta=90.00 gamma=90.00
Element x y z (fractional)
Dy  0.000  0.000  0.144
Dy  0.000  0.000  0.856
Cu  0.000  0.000  0.500
Se  0.000  0.000  0.341
Se  0.000  0.000  0.659
O  0.000  0.000  0.000

[4]
Diffraction record for Dy2Ti12Cu9O36. The powder XRD pattern is theoretical, not measured: it uses a cell relaxed with GGA-PBE and Cu Kα, 1.54184 Å.
Neutral-atom scattering factors, no anomalous dispersion.

Top 12 peaks for 2θ from 10° to 90°, by angle:
2θ (°), I_rel
16.83, 78
23.90, 73
34.05, 1000
38.22, 89
42.06, 73
48.93, 276
60.84, 122
60.99, 362
71.61, 63
71.77, 61
81.74, 78
81.86, 77

Cell and atoms:
Unit cell a=10.521 b=10.521 c=6.462 alpha=90.00 beta=90.00 gamma=120.00
Element x y z (fractional)
Dy  0.333  0.667  0.329
Dy  0.667  0.333  0.671
Ti  0.000  0.000  0.500
Ti  0.000  0.500  0.500
Ti  0.158  0.319  0.163
Ti  0.161  0.842  0.163
Ti  0.319  0.161  0.837
Ti  0.333  0.667  0.841
Ti  0.500  0.000  0.500
Ti  0.500  0.500  0.500
Ti  0.667  0.333  0.159
Ti  0.681  0.839  0.163
Ti  0.839  0.158  0.837
Ti  0.842  0.681  0.837
Cu  0.000  0.500  0.000
Cu  0.168  0.831  0.662
Cu  0.169  0.337  0.662
Cu  0.337  0.168  0.338
Cu  0.500  0.000  0.000
Cu  0.500  0.500  0.000
Cu  0.663  0.832  0.662
Cu  0.831  0.663  0.338
Cu  0.832  0.169  0.338
O  0.017  0.165  0.330
O  0.045  0.270  0.911
O  0.077  0.451  0.251
O  0.118  0.707  0.413
O  0.148  0.983  0.330
O  0.165  0.148  0.670
O  0.177  0.527  0.646
O  0.193  0.683  0.018
O  0.225  0.955  0.911
O  0.270  0.225  0.089
O  0.293  0.411  0.413
O  0.317  0.510  0.018
O  0.350  0.823  0.646
O  0.374  0.923  0.251
O  0.411  0.118  0.587
O  0.451  0.374  0.749
O  0.473  0.650  0.646
O  0.490  0.807  0.018
O  0.510  0.193  0.982
O  0.527  0.350  0.354
O  0.549  0.626  0.251
O  0.589  0.882  0.413
O  0.626  0.077  0.749
O  0.650  0.177  0.354
O  0.683  0.490  0.982
O  0.707  0.589  0.587
O  0.730  0.775  0.911
O  0.775  0.045  0.089
O  0.807  0.317  0.982
O  0.823  0.473  0.354
O  0.835  0.852  0.330
O  0.852  0.017  0.670
O  0.882  0.293  0.587
O  0.923  0.549  0.749
O  0.955  0.730  0.089
O  0.983  0.835  0.670

[5]
Diffraction record for Dy2CuOs. The powder XRD pattern is theoretical, not measured: it uses a cell relaxed with GGA-PBE and Cu Kα, 1.54184 Å.
Neutral-atom scattering factors, no anomalous dispersion.

Top 11 peaks for 2θ from 10° to 90°, by angle:
2θ (°), I_rel
22.44, 96
25.97, 16
37.05, 1000
43.75, 53
53.40, 175
58.64, 24
60.31, 7
66.78, 355
71.42, 18
78.91, 111
83.30, 19

Cell and atoms:
Unit cell a=6.863 b=6.863 c=6.863 alpha=90.00 beta=90.00 gamma=90.00
Element x y z (fractional)
Dy  0.250  0.250  0.250
Dy  0.250  0.250  0.750
Dy  0.250  0.750  0.250
Dy  0.250  0.750  0.750
Dy  0.750  0.250  0.250
Dy  0.750  0.250  0.750
Dy  0.750  0.750  0.250
Dy  0.750  0.750  0.750
Cu  0.000  0.000  0.000
Cu  0.000  0.500  0.500
Cu  0.500  0.000  0.500
Cu  0.500  0.500  0.000
Os  0.000  0.000  0.500
Os  0.000  0.500  0.000
Os  0.500  0.000  0.000
Os  0.500  0.500  0.500

[6]
Diffraction record for Dy4Cu5P7. The powder XRD pattern is theoretical, not measured: it uses a cell relaxed with GGA-PBE and Cu Kα, 1.54184 Å.
Neutral-atom scattering factors, no anomalous dispersion.

Top 12 peaks for 2θ from 10° to 90°, by angle:
2θ (°), I_rel
25.60, 687
30.31, 113
36.94, 370
37.35, 198
38.93, 1000
48.82, 298
53.55, 138
55.93, 162
62.76, 155
63.04, 190
68.42, 140
84.56, 212

Cell and atoms:
Unit cell a=10.327 b=10.327 c=10.327 alpha=150.40 beta=150.40 gamma=42.36
Element x y z (fractional)
Dy  0.125  0.644  0.000
Dy  0.356  0.356  0.481
Dy  0.644  0.125  0.000
Dy  0.875  0.875  0.519
Cu  0.249  0.249  0.000
Cu  0.250  0.750  0.500
Cu  0.500  0.500  0.000
Cu  0.750  0.250  0.500
Cu  0.751  0.751  0.000
P  0.000  0.000  0.000
P  0.000  0.500  0.500
P  0.083  0.083  0.509
P  0.426  0.917  0.000
P  0.500  0.000  0.500
P  0.574  0.574  0.491
P  0.917  0.426  0.000